1.
Diffraction record for Li3V4O7F5. The powder diffraction line list is computed, not measured: it uses a PBE+U-relaxed structure and λ = 1.5418 Å (Cu Kα).

Cell and atoms:
Unit cell a=5.1310 b=5.3538 c=8.8914 alpha=73.35 beta=88.78 gamma=63.06
Space group P1 (No. 1)
One atom of each set of equivalent atoms:
Li 0.0000 0.0000 0.0000 [1 per cell]
Li 0.2291 0.5203 0.7572 [1 per cell]
Li 0.4706 0.0430 0.5016 [1 per cell]
V 0.1398 0.7169 0.3919 [1 per cell]
V 0.4425 0.1432 0.1521 [1 per cell]
V 0.6967 0.6217 0.8953 [1 per cell]
V 0.8650 0.1739 0.6547 [1 per cell]
O 0.3625 0.8855 0.3426 [1 per cell]
O 0.4976 0.3775 0.5888 [1 per cell]
O 0.5196 0.3886 0.9732 [1 per cell]
O 0.8688 0.8686 0.8379 [1 per cell]
O 0.8838 0.8829 0.2259 [1 per cell]
O 0.9394 0.3600 0.7865 [1 per cell]
O 0.9430 0.8763 0.5304 [1 per cell]
F 0.0014 0.3800 0.0847 [1 per cell]
F 0.0318 0.3655 0.4813 [1 per cell]
F 0.3756 0.8652 0.7114 [1 per cell]
F 0.4156 0.3778 0.2963 [1 per cell]
F 0.4238 0.8911 0.0262 [1 per cell]

Main lines, in order of rising 2θ (2θ = 10–90°):
h k l	two_theta	I (rel.)
1 0 1	23.40	100
0 1 2	23.91	94
1 1 -1	24.45	96
-1 1 1	32.74	22
0 1 -2	33.16	24
1 2 1	33.59	22
1 0 3	39.75	29
1 2 3	40.39	26
1 1 -3	41.06	23
2 0 2	47.86	20

2.
Diffraction record for MoO2. The powder diffraction line list is computed, not measured: it uses a PBE+U-relaxed structure and λ = 1.5418 Å (Cu Kα).

Cell and atoms:
Unit cell a=8.7090 b=8.9282 c=9.4319 alpha=90.00 beta=90.00 gamma=90.00
Space group Fddd (No. 70, origin choice 2)
One atom of each set of equivalent atoms:
Mo 0.0000 0.0000 0.0000 [16 per cell]
O 0.0151 0.0207 0.2255 [32 per cell]

Main lines, in order of rising 2θ (2θ = 10–90°):
h k l	two_theta	I (rel.)
1 1 1	17.05	100
1 1 3	31.88	14
1 3 1	33.20	13
3 1 1	33.83	14
2 2 2	34.49	25
0 0 4	38.17	16
0 4 0	40.41	14
4 0 0	41.47	13
0 4 4	56.80	9
4 4 0	59.30	11

3.
Diffraction record for NiP2O6. The powder diffraction line list is computed, not measured: it uses a PBE+U-relaxed structure and λ = 1.5418 Å (Cu Kα).

Cell and atoms:
Unit cell a=11.7960 b=8.3272 c=9.9893 alpha=90.00 beta=118.46 gamma=90.00
Space group C2/c (No. 15)
One atom of each set of equivalent atoms:
Ni 0.0000 0.0542 0.2500 [4 per cell]
Ni 0.2500 0.2500 0.5000 [4 per cell]
P 0.0090 0.2607 0.9763 [8 per cell]
P 0.1967 0.4913 0.1964 [8 per cell]
O 0.0335 0.1190 0.9053 [8 per cell]
O 0.0494 0.2402 0.4173 [8 per cell]
O 0.0773 0.3892 0.6536 [8 per cell]
O 0.1431 0.3562 0.0649 [8 per cell]
O 0.2009 0.0814 0.3251 [8 per cell]
O 0.2332 0.4228 0.3480 [8 per cell]

Main lines, in order of rising 2θ (2θ = 10–90°):
h k l	two_theta	I (rel.)
1 1 -1	14.34	55
1 1 -2	20.77	40
3 1 -1	25.14	19
3 1 -2	26.30	32
3 1 0	27.95	30
0 2 2	29.57	100
3 1 -3	31.06	25
4 0 0	34.60	26
4 2 -2	37.58	28
1 3 -3	42.84	23